# Sr2Bi2O5
Simulated X-ray diffraction stick pattern, Cu Kα, 1.54184 Å. Input: a crystal structure in Alexandria, relaxed with PBE.
No peak broadening, texture or thermal motion is included.

Crystal structure
```
Sr2Bi2O5
1.0
14.6632 0.0000 0.0000
0.0000 6.2521 0.0000
0.0000 0.0000 7.7572
Sr Bi O
8 8 20
direct
0.0517 0.2500 0.1233
0.0662 0.2500 0.6264
0.4338 0.7500 0.1264
0.4483 0.7500 0.6233
0.5517 0.2500 0.3767
0.5662 0.2500 0.8736
0.9338 0.7500 0.3736
0.9483 0.7500 0.8767
0.1825 0.7500 0.3821
0.1899 0.7500 0.8694
0.3101 0.2500 0.3694
0.3175 0.2500 0.8821
0.6825 0.7500 0.1179
0.6899 0.7500 0.6306
0.8101 0.2500 0.1306
0.8175 0.2500 0.6179
0.0855 0.5080 0.3670
0.0855 0.9920 0.3670
0.0920 0.5090 0.8821
0.0920 0.9910 0.8821
0.2437 0.7500 0.1278
0.2563 0.2500 0.6278
0.4080 0.0090 0.3821
0.4080 0.4910 0.3821
0.4145 0.0080 0.8670
0.4145 0.4920 0.8670
0.5855 0.5080 0.1330
0.5855 0.9920 0.1330
0.5920 0.5090 0.6179
0.5920 0.9910 0.6179
0.7437 0.7500 0.3722
0.7563 0.2500 0.8722
0.9080 0.0090 0.1179
0.9080 0.4910 0.1179
0.9145 0.0080 0.6330
0.9145 0.4920 0.6330
```

Most intense lines, 5 to 70 degrees two-theta, by angle:
- hkl 2 1 0, 4.757 Å, I = 25
- hkl 1 0 2, 3.750 Å, I = 50
- hkl 1 1 2, 3.216 Å, I = 66
- hkl 4 1 0, 3.162 Å, I = 100
- hkl 0 2 0, 3.126 Å, I = 41
- hkl 3 1 2, 2.733 Å, I = 37
- hkl 1 2 2, 2.401 Å, I = 20
- hkl 5 1 2, 2.191 Å, I = 22
- hkl 3 2 2, 2.179 Å, I = 26
- hkl 5 2 2, 1.873 Å, I = 20
- hkl 4 3 0, 1.812 Å, I = 21
- hkl 4 1 4, 1.653 Å, I = 30